Diffraction record for CaPmP2Pd2. The powder diffraction line list is theoretical, not measured: it uses a structure optimized by DFT (GGA-PBE) and copper Kα.

Top 10 peaks for 2θ = 5–70°, in order of rising 2θ:
two_theta	I/Imax
11.02	21
27.13	45
33.42	100
42.06	14
43.51	47
45.17	14
52.03	8
55.95	24
62.11	5
64.52	28

Crystal structure
Cell lengths 4.160, 4.160, 8.030 Å; angles 90.00, 90.00, 120.00 degrees
Sites, in units of the cell vectors:
Ca  0.000  0.000  0.000
Pm  0.000  0.000  0.500
P  0.333  0.667  0.260
P  0.667  0.333  0.740
Pd  0.333  0.667  0.753
Pd  0.667  0.333  0.247

Diffraction record for Pm2Al3Rh. The powder diffraction line list is theoretical, not measured: it uses a structure optimized by DFT (GGA-PBE) and copper Kα.

Top 10 peaks for 2θ = 5–70°, in order of rising 2θ:
two_theta	I/Imax
20.13	40
31.69	89
35.63	55
37.83	100
38.19	19
56.44	17
59.03	27
60.55	25
65.21	16
66.19	17

Crystal structure
Cell lengths 5.647, 5.647, 8.821 Å; angles 90.00, 90.00, 120.00 degrees
Sites, in units of the cell vectors:
Pm  0.333  0.667  0.056
Pm  0.333  0.667  0.444
Pm  0.667  0.333  0.556
Pm  0.667  0.333  0.944
Al  0.161  0.323  0.750
Al  0.161  0.839  0.750
Al  0.323  0.161  0.250
Al  0.677  0.839  0.750
Al  0.839  0.161  0.250
Al  0.839  0.677  0.250
Rh  0.000  0.000  0.000
Rh  0.000  0.000  0.500

Diffraction record for CeThHg2. The powder diffraction line list is theoretical, not measured: it uses a structure optimized by DFT (GGA-PBE) and copper Kα.

Top 10 peaks for 2θ = 5–70°, in order of rising 2θ:
two_theta	I/Imax
16.13	3
28.98	2
32.59	53
33.34	100
44.16	1
46.76	20
48.96	8
58.63	40
60.06	18
68.27	6

Crystal structure
Cell lengths 7.772, 6.638, 6.635 Å; angles 71.68, 54.18, 54.14 degrees
Sites, in units of the cell vectors:
Ce  0.245  0.755  0.245
Ce  0.755  0.245  0.755
Th  0.246  0.246  0.754
Th  0.754  0.754  0.246
Hg  0.250  0.250  0.250
Hg  0.263  0.737  0.737
Hg  0.737  0.263  0.263
Hg  0.750  0.750  0.750